No. 1
The following is a calculated PXRD pattern of Y3Ho3Tm5. It was derived from a DFT-relaxed cell (GGA-PBE, Alexandria), using Cu Ka.

Lattice parameters (Å, degrees): 9.5716 9.5716 5.4770 90.00 90.00 120.00
Atoms (fractional coordinates):
1 Y 0.0000 0.7402 0.0000
2 Y 0.2598 0.2598 0.0000
3 Y 0.7402 0.0000 0.0000
4 Ho 0.0000 0.5438 0.5000
5 Ho 0.4562 0.4562 0.5000
6 Ho 0.5438 0.0000 0.5000
7 Tm 0.0000 0.3763 0.0000
8 Tm 0.3333 0.6667 0.0000
9 Tm 0.3763 0.0000 0.0000
10 Tm 0.6237 0.6237 0.0000
11 Tm 0.6667 0.3333 0.0000

The 8 most intense peaks (2θ = 10–90°), by angle:
Position (°2θ)  I (rel.)
10.67  100.0
16.18  56.9
24.70  55.5
26.98  70.4
32.40  51.3
32.70  66.5
32.94  81.2
36.42  98.1

No. 2
The following is a calculated PXRD pattern of Re4W3. It was derived from a DFT-relaxed cell (GGA-PBE, Alexandria), using Cu Ka.

Lattice parameters (Å, degrees): 3.1432 3.1432 22.0818 90.00 90.00 90.00
Atoms (fractional coordinates):
1 Re 0.0000 0.0000 0.0690
2 Re 0.0000 0.0000 0.3555
3 Re 0.0000 0.0000 0.6445
4 Re 0.0000 0.0000 0.9310
5 Re 0.5000 0.5000 0.1445
6 Re 0.5000 0.5000 0.4310
7 Re 0.5000 0.5000 0.5690
8 Re 0.5000 0.5000 0.8555
9 W 0.0000 0.0000 0.2134
10 W 0.0000 0.0000 0.5000
11 W 0.0000 0.0000 0.7866
12 W 0.5000 0.5000 0.0000
13 W 0.5000 0.5000 0.2866
14 W 0.5000 0.5000 0.7134

The 7 most intense peaks (2θ = 10–90°), by angle:
Position (°2θ)  I (rel.)
40.54  100.0
58.52  5.7
58.75  11.4
73.65  11.5
73.80  23.3
87.65  7.6
87.85  3.9

No. 3
The following is a calculated PXRD pattern of Y3Mg. It was derived from a DFT-relaxed cell (GGA-PBE, Alexandria), using Cu Ka.

Lattice parameters (Å, degrees): 4.9523 4.9523 9.7766 90.00 90.00 90.00
Atoms (fractional coordinates):
1 Y 0.0000 0.0000 0.0000
2 Y 0.0000 0.5000 0.2500
3 Y 0.0000 0.5000 0.7500
4 Y 0.5000 0.0000 0.2500
5 Y 0.5000 0.0000 0.7500
6 Y 0.5000 0.5000 0.5000
7 Mg 0.0000 0.0000 0.5000
8 Mg 0.5000 0.5000 0.0000

The 8 most intense peaks (2θ = 10–90°), by angle:
Position (°2θ)  I (rel.)
20.10  14.7
31.42  100.0
36.28  33.6
36.77  16.2
52.25  11.5
52.61  22.4
62.25  26.5
62.91  12.8

No. 4
The following is a calculated PXRD pattern of DyZn9Cu2. It was derived from a DFT-relaxed cell (GGA-PBE, Alexandria), using Cu Ka.

Lattice parameters (Å, degrees): 8.1345 8.1345 8.1345 99.74 99.74 131.42
Atoms (fractional coordinates):
1 Dy 0.3750 0.6250 0.7500
2 Dy 0.6250 0.3750 0.2500
3 Zn 0.1250 0.8750 0.2500
4 Zn 0.1345 0.5596 0.3327
5 Zn 0.1345 0.8018 0.5749
6 Zn 0.1982 0.2731 0.3327
7 Zn 0.1982 0.8655 0.9251
8 Zn 0.2731 0.1982 0.8327
9 Zn 0.2731 0.4404 0.0749
10 Zn 0.4404 0.2731 0.5749
11 Zn 0.4404 0.8655 0.1673
12 Zn 0.5596 0.1345 0.8327
13 Zn 0.5596 0.7269 0.4251
14 Zn 0.7269 0.5596 0.9251
15 Zn 0.7269 0.8018 0.1673
16 Zn 0.8018 0.1345 0.0749
17 Zn 0.8018 0.7269 0.6673
18 Zn 0.8655 0.1982 0.4251
19 Zn 0.8655 0.4404 0.6673
20 Zn 0.8750 0.1250 0.7500
21 Cu 0.0000 0.0000 0.0000
22 Cu 0.0000 0.0000 0.5000
23 Cu 0.0000 0.5000 0.0000
24 Cu 0.5000 0.0000 0.5000

The 8 most intense peaks (2θ = 10–90°), by angle:
Position (°2θ)  I (rel.)
33.60  39.5
38.21  100.0
38.39  71.9
41.38  32.0
45.32  46.6
47.34  28.3
69.31  29.4
82.23  14.5

No. 5
The following is a calculated PXRD pattern of CeTh2ZnN5. It was derived from a DFT-relaxed cell (GGA-PBE, Alexandria), using Cu Ka.

Lattice parameters (Å, degrees): 7.1382 7.1382 10.7028 90.00 90.00 151.24
Atoms (fractional coordinates):
1 Ce 0.1931 0.8069 0.5000
2 Ce 0.8069 0.1931 0.0000
3 Th 0.1215 0.8785 0.1903
4 Th 0.1261 0.8739 0.7975
5 Th 0.8739 0.1261 0.2975
6 Th 0.8785 0.1215 0.6903
7 Zn 0.4970 0.5030 0.9929
8 Zn 0.5030 0.4970 0.4929
9 N 0.0394 0.9606 0.5767
10 N 0.2979 0.7021 0.1638
11 N 0.3025 0.6975 0.8475
12 N 0.3542 0.6458 0.5250
13 N 0.4992 0.5008 0.2975
14 N 0.5008 0.4992 0.7975
15 N 0.6458 0.3542 0.0250
16 N 0.6975 0.3025 0.3475
17 N 0.7021 0.2979 0.6637
18 N 0.9606 0.0394 0.0767

The 8 most intense peaks (2θ = 10–90°), by angle:
Position (°2θ)  I (rel.)
25.77  35.2
25.94  47.2
28.15  100.0
30.79  70.5
30.94  53.9
31.84  82.3
36.31  96.3
55.95  37.0

No. 6
The following is a calculated PXRD pattern of MgAl2Cd. It was derived from a DFT-relaxed cell (GGA-PBE, Alexandria), using Cu Ka.

Lattice parameters (Å, degrees): 3.0285 3.0285 29.6851 90.00 90.00 120.00
Atoms (fractional coordinates):
1 Mg 0.0000 0.0000 0.0000
2 Mg 0.3333 0.6667 0.6667
3 Mg 0.6667 0.3333 0.3333
4 Al 0.0000 0.0000 0.2514
5 Al 0.0000 0.0000 0.7486
6 Al 0.3333 0.6667 0.4153
7 Al 0.3333 0.6667 0.9181
8 Al 0.6667 0.3333 0.0819
9 Al 0.6667 0.3333 0.5847
10 Cd 0.0000 0.0000 0.5000
11 Cd 0.3333 0.6667 0.1667
12 Cd 0.6667 0.3333 0.8333

The 8 most intense peaks (2θ = 10–90°), by angle:
Position (°2θ)  I (rel.)
17.93  27.7
34.32  18.6
34.73  16.8
36.33  100.0
37.49  15.2
42.19  48.7
61.20  31.0
73.30  35.7

No. 7
The following is a calculated PXRD pattern of CuPI2. It was derived from a DFT-relaxed cell (GGA-PBE, Alexandria), using Cu Ka.

Lattice parameters (Å, degrees): 7.1296 4.8390 7.5918 90.00 116.28 90.00
Atoms (fractional coordinates):
1 Cu 0.0000 0.0000 0.0000
2 Cu 0.5000 0.5000 0.0000
3 P 0.0000 0.5200 0.5000
4 P 0.5000 0.0200 0.5000
5 I 0.1730 0.1798 0.7789
6 I 0.3270 0.6798 0.2211
7 I 0.6730 0.6798 0.7789
8 I 0.8270 0.1798 0.2211

The 8 most intense peaks (2θ = 10–90°), by angle:
Position (°2θ)  I (rel.)
23.05  37.3
23.26  62.6
24.99  31.3
29.51  100.0
30.01  34.0
37.10  38.2
43.11  26.2
46.03  29.3

No. 8
The following is a calculated PXRD pattern of Ho2Er12Pu. It was derived from a DFT-relaxed cell (GGA-PBE, Alexandria), using Cu Ka.

Lattice parameters (Å, degrees): 3.5457 5.6160 23.3646 90.00 94.33 90.00
Atoms (fractional coordinates):
1 Ho 0.1459 0.0000 0.2851
2 Ho 0.8541 0.0000 0.7149
3 Er 0.1004 0.5000 0.1941
4 Er 0.2235 0.5000 0.4428
5 Er 0.2844 0.0000 0.5749
6 Er 0.3356 0.5000 0.6773
7 Er 0.4229 0.0000 0.8529
8 Er 0.4649 0.5000 0.9325
9 Er 0.5351 0.5000 0.0675
10 Er 0.5771 0.0000 0.1471
11 Er 0.6644 0.5000 0.3227
12 Er 0.7156 0.0000 0.4251
13 Er 0.7765 0.5000 0.5572
14 Er 0.8996 0.5000 0.8059
15 Pu 0.0000 0.0000 0.0000

The 8 most intense peaks (2θ = 10–90°), by angle:
Position (°2θ)  I (rel.)
30.56  17.6
31.25  37.0
31.87  46.7
32.76  100.0
34.57  20.6
34.70  19.1
57.35  20.5
61.90  14.8